Starting from a cell relaxed with GGA-PBE, the powder XRD pattern of Tb4Al3Tl was simulated for Cu Kα X-rays.

Atomic structure:
Cell lengths 3.6369, 3.6369, 14.9378 Å; angles 90.00, 90.00, 90.00 degrees
Space group P4/mmm (No. 123)
Inequivalent atoms, fractional coordinates:
Tb 0.0000 0.0000 0.1192 [2 per cell]
Tb 0.0000 0.0000 0.3618 [2 per cell]
Al 0.5000 0.5000 0.0000 [1 per cell]
Al 0.5000 0.5000 0.2407 [2 per cell]
Tl 0.5000 0.5000 0.5000 [1 per cell]

Main lines, by angle (2θ from 10° to 80°):
2θ 24.48, 3.637 Å, I 18.4, (1 0 0); 2θ 34.42, 2.605 Å, I 100.0, (1 0 4); 2θ 34.89, 2.572 Å, I 50.6, (1 1 0); 2θ 50.17, 1.818 Å, I 18.2, (2 0 0); 2θ 61.37, 1.511 Å, I 20.5, (1 1 8); 2θ 62.26, 1.491 Å, I 36.2, (2 1 4)

Starting from a cell relaxed with GGA-PBE, the powder XRD pattern of TmTh4 was simulated for Cu Kα X-rays.

Atomic structure:
Cell lengths 3.5630, 3.5630, 25.1373 Å; angles 90.00, 90.00, 90.00 degrees
Space group I4/mmm (No. 139)
Inequivalent atoms, fractional coordinates:
Tm 0.0000 0.0000 0.0000 [2 per cell]
Th 0.0000 0.0000 0.1997 [4 per cell]
Th 0.0000 0.0000 0.4000 [4 per cell]

Main lines, by angle (2θ from 10° to 80°):
2θ 30.76, 2.907 Å, I 100.0, (1 0 5); 2θ 35.66, 2.518 Å, I 51.0, (1 1 0); 2θ 51.32, 1.780 Å, I 37.0, (2 0 0); 2θ 61.00, 1.519 Å, I 29.7, (2 1 5); 2θ 61.11, 1.516 Å, I 14.8, (1 0 15); 2θ 64.06, 1.453 Å, I 12.8, (2 0 10)

Starting from a cell relaxed with GGA-PBE, the powder XRD pattern of TlGa5 was simulated for Cu Kα X-rays.

Atomic structure:
Cell lengths 5.5326, 5.5326, 5.0068 Å; angles 90.00, 90.00, 120.00 degrees
Space group P6/mmm (No. 191)
Inequivalent atoms, fractional coordinates:
Tl 0.0000 0.0000 0.0000 [1 per cell]
Ga 0.0000 0.5000 0.5000 [3 per cell]
Ga 0.3333 0.6667 0.0000 [2 per cell]

Main lines, by angle (2θ from 10° to 80°):
2θ 25.74, 3.462 Å, I 57.9, (1 0 1); 2θ 32.36, 2.766 Å, I 30.5, (1 1 0); 2θ 35.87, 2.503 Å, I 33.4, (0 0 2); 2θ 37.13, 2.421 Å, I 100.0, (1 1 1); 2θ 37.54, 2.396 Å, I 33.0, (2 0 0); 2θ 52.90, 1.731 Å, I 24.6, (2 0 2)

Which formula does entry 2 have?
TmTh4